Diffraction record for Er2Th4Sc. The X-ray diffraction stick pattern is calculated, not measured: it uses the GGA-PBE geometry in Alexandria and CuKα.

Largest 8 diffraction maxima, most intense first, 10 to 90 degrees two-theta:
2θ 34.07, d 2.631, I = 100.0
2θ 31.11, d 2.875, I = 62.6
2θ 30.20, d 2.960, I = 22.4
2θ 21.86, d 4.066, I = 21.2
2θ 42.40, d 2.132, I = 20.9
2θ 33.05, d 2.711, I = 20.5
2θ 57.27, d 1.609, I = 20.4
2θ 10.88, d 8.132, I = 18.3

Atomic structure:
```
data_Er2Th4Sc
_chemical_formula_sum 'Er2 Th4 Sc1'
_space_group_name_H-M_alt 'P 4/m m m'
_space_group_IT_number 123
_space_group_name_Hall '-P 4 2'
_cell_length_a 8.132
_cell_length_b 8.132
_cell_length_c 3.452
_cell_angle_alpha 90.00
_cell_angle_beta 90.00
_cell_angle_gamma 90.00
loop_
_atom_site_label
_atom_site_fract_x
_atom_site_fract_y
_atom_site_fract_z
_atom_site_occupancy
Er1 0.000 0.500 0.000 1
Th1 0.210 0.210 0.500 1
Sc1 0.500 0.500 0.500 1
```

=====

Diffraction record for Er4ThSc4. The X-ray diffraction stick pattern is calculated, not measured: it uses the GGA-PBE geometry in Alexandria and CuKα.

Largest 8 diffraction maxima, most intense first, 10 to 90 degrees two-theta:
2θ 32.14, d 2.785, I = 100.0
2θ 12.30, d 7.198, I = 33.3
2θ 37.48, d 2.399, I = 32.9
2θ 64.29, d 1.449, I = 27.8
2θ 26.80, d 3.327, I = 25.1
2θ 53.60, d 1.710, I = 23.3
2θ 36.88, d 2.437, I = 17.7
2θ 63.48, d 1.465, I = 14.0

Atomic structure:
```
data_Er4ThSc4
_chemical_formula_sum 'Er8 Th2 Sc8'
_space_group_name_H-M_alt 'I 4/m m m'
_space_group_IT_number 139
_space_group_name_Hall '-I 4 2'
_cell_length_a 10.180
_cell_length_b 10.180
_cell_length_c 4.874
_cell_angle_alpha 90.00
_cell_angle_beta 90.00
_cell_angle_gamma 90.00
loop_
_atom_site_label
_atom_site_fract_x
_atom_site_fract_y
_atom_site_fract_z
_atom_site_occupancy
Er1 0.167 0.167 0.000 1
Th1 0.000 0.000 0.500 1
Sc1 0.000 0.338 0.500 1
```

=====

Diffraction record for ErTh2Sc2. The X-ray diffraction stick pattern is calculated, not measured: it uses the GGA-PBE geometry in Alexandria and CuKα.

Largest 8 diffraction maxima, most intense first, 10 to 90 degrees two-theta:
2θ 31.82, d 2.812, I = 100.0
2θ 37.13, d 2.421, I = 66.0
2θ 31.64, d 2.828, I = 50.6
2θ 32.19, d 2.781, I = 48.5
2θ 63.42, d 1.467, I = 34.6
2θ 36.62, d 2.454, I = 34.4
2θ 14.39, d 6.155, I = 28.0
2θ 52.77, d 1.735, I = 24.1

Atomic structure:
```
data_ErTh2Sc2
_chemical_formula_sum 'Er4 Th8 Sc8'
_space_group_name_H-M_alt 'P 1 21/c 1'
_space_group_IT_number 14
_cell_length_a 14.068
_cell_length_b 6.864
_cell_length_c 6.031
_cell_angle_alpha 90.00
_cell_angle_beta 98.71
_cell_angle_gamma 90.00
loop_
_space_group_symop_operation_xyz
'x,y,z'
'-x,-y,-z'
'-x,y+1/2,-z+1/2'
'x,-y+1/2,z+1/2'
loop_
_atom_site_label
_atom_site_fract_x
_atom_site_fract_y
_atom_site_fract_z
_atom_site_occupancy
Er1 0.200 0.121 0.147 1
Th1 0.002 0.625 0.754 1
Th2 0.402 0.126 0.556 1
Sc1 0.200 0.626 0.153 1
Sc2 0.401 0.629 0.543 1
```

=====

Diffraction record for Er4ThSc2. The X-ray diffraction stick pattern is calculated, not measured: it uses the GGA-PBE geometry in Alexandria and CuKα.

Largest 8 diffraction maxima, most intense first, 10 to 90 degrees two-theta:
2θ 34.64, d 2.590, I = 100.0
2θ 32.50, d 2.755, I = 48.4
2θ 25.56, d 3.485, I = 27.2
2θ 28.18, d 3.167, I = 22.6
2θ 59.31, d 1.558, I = 15.1
2θ 49.68, d 1.835, I = 14.9
2θ 63.41, d 1.467, I = 14.2
2θ 22.82, d 3.896, I = 13.4

Atomic structure:
```
data_Er4ThSc2
_chemical_formula_sum 'Er16 Th4 Sc8'
_space_group_name_H-M_alt 'C m m e'
_space_group_IT_number 67
_space_group_name_Hall '-C 2a 2'
_cell_length_a 15.553
_cell_length_b 15.618
_cell_length_c 3.466
_cell_angle_alpha 90.00
_cell_angle_beta 90.00
_cell_angle_gamma 90.00
loop_
_atom_site_label
_atom_site_fract_x
_atom_site_fract_y
_atom_site_fract_z
_atom_site_occupancy
Er1 0.141 0.109 0.001 1
Th1 0.000 0.250 0.502 1
Sc1 0.000 0.000 0.500 1
Sc2 0.250 0.250 0.500 1
```

=====

Diffraction record for Er5Th2Sc2. The X-ray diffraction stick pattern is calculated, not measured: it uses the GGA-PBE geometry in Alexandria and CuKα.

Largest 8 diffraction maxima, most intense first, 10 to 90 degrees two-theta:
2θ 33.66, d 2.663, I = 100.0
2θ 35.56, d 2.525, I = 83.8
2θ 31.29, d 2.858, I = 69.1
2θ 27.99, d 3.188, I = 50.7
2θ 16.65, d 5.326, I = 37.6
2θ 31.80, d 2.814, I = 36.9
2θ 45.22, d 2.005, I = 28.1
2θ 35.88, d 2.503, I = 26.5

Atomic structure:
```
data_Er5Th2Sc2
_chemical_formula_sum 'Er20 Th8 Sc8'
_space_group_name_H-M_alt 'I m a 2'
_space_group_IT_number 46
_cell_length_a 15.916
_cell_length_b 6.019
_cell_length_c 11.432
_cell_angle_alpha 90.00
_cell_angle_beta 90.00
_cell_angle_gamma 90.00
loop_
_space_group_symop_operation_xyz
'x,y,z'
'-x,-y,z'
'-x+1/2,y,z'
'x+1/2,-y,z'
'x+1/2,y+1/2,z+1/2'
'-x+1/2,-y+1/2,z+1/2'
'-x,y+1/2,z+1/2'
'x,-y+1/2,z+1/2'
loop_
_atom_site_label
_atom_site_fract_x
_atom_site_fract_y
_atom_site_fract_z
_atom_site_occupancy
Er1 0.052 0.249 0.000 1
Er2 0.148 0.748 0.002 1
Er3 0.250 0.249 0.003 1
Th1 0.000 0.000 0.750 1
Th2 0.250 0.546 0.252 1
Sc1 0.136 0.048 0.251 1
```

=====

Diffraction record for Er4Th6Sc. The X-ray diffraction stick pattern is calculated, not measured: it uses the GGA-PBE geometry in Alexandria and CuKα.

Largest 8 diffraction maxima, most intense first, 10 to 90 degrees two-theta:
2θ 31.60, d 2.831, I = 100.0
2θ 28.44, d 3.138, I = 75.4
2θ 29.68, d 3.010, I = 65.6
2θ 34.76, d 2.581, I = 52.1
2θ 36.81, d 2.441, I = 49.3
2θ 22.10, d 4.022, I = 39.0
2θ 59.65, d 1.550, I = 31.6
2θ 40.78, d 2.213, I = 31.1

Atomic structure:
```
data_Er4Th6Sc
_chemical_formula_sum 'Er8 Th12 Sc2'
_space_group_name_H-M_alt 'I -4 2 m'
_space_group_IT_number 121
_space_group_name_Hall 'I -4 2'
_cell_length_a 6.416
_cell_length_b 6.416
_cell_length_c 17.380
_cell_angle_alpha 90.00
_cell_angle_beta 90.00
_cell_angle_gamma 90.00
loop_
_atom_site_label
_atom_site_fract_x
_atom_site_fract_y
_atom_site_fract_z
_atom_site_occupancy
Er1 0.183 0.183 0.375 1
Th1 0.000 0.500 0.000 1
Th2 0.187 0.187 0.184 1
Sc1 0.000 0.000 0.000 1
```

=====

Diffraction record for Er3Th2Sc3. The X-ray diffraction stick pattern is calculated, not measured: it uses the GGA-PBE geometry in Alexandria and CuKα.

Largest 8 diffraction maxima, most intense first, 10 to 90 degrees two-theta:
2θ 33.64, d 2.664, I = 100.0
2θ 35.25, d 2.546, I = 72.3
2θ 29.26, d 3.053, I = 65.1
2θ 34.45, d 2.604, I = 56.9
2θ 19.24, d 4.614, I = 48.2
2θ 53.61, d 1.710, I = 37.7
2θ 21.83, d 4.071, I = 35.3
2θ 31.08, d 2.877, I = 28.7

Atomic structure:
```
data_Er3Th2Sc3
_chemical_formula_sum 'Er9 Th6 Sc9'
_space_group_name_H-M_alt 'R 3 2'
_space_group_IT_number 155
_space_group_name_Hall 'R 3 2"'
_cell_length_a 9.2277
_cell_length_b 9.2277
_cell_length_c 9.4614
_cell_angle_alpha 90.00
_cell_angle_beta 90.00
_cell_angle_gamma 120.00
loop_
_atom_site_label
_atom_site_fract_x
_atom_site_fract_y
_atom_site_fract_z
_atom_site_occupancy
Er1 0.0000 0.2813 0.0000 1
Th1 0.0000 0.0000 0.2646 1
Sc1 0.0000 0.7064 0.5000 1
```

=====

Diffraction record for ErThSc6. The X-ray diffraction stick pattern is calculated, not measured: it uses the GGA-PBE geometry in Alexandria and CuKα.

Largest 8 diffraction maxima, most intense first, 10 to 90 degrees two-theta:
2θ 35.05, d 2.560, I = 100.0
2θ 22.55, d 3.943, I = 63.0
2θ 26.48, d 3.366, I = 27.8
2θ 15.20, d 5.830, I = 25.5
2θ 33.48, d 2.676, I = 25.2
2θ 30.67, d 2.915, I = 24.4
2θ 44.46, d 2.038, I = 21.5
2θ 65.52, d 1.425, I = 20.4

Atomic structure:
```
data_ErThSc6
_chemical_formula_sum 'Er1 Th1 Sc6'
_space_group_name_H-M_alt 'P -6 m 2'
_space_group_IT_number 187
_space_group_name_Hall 'P -6 2'
_cell_length_a 6.7317
_cell_length_b 6.7317
_cell_length_c 5.3528
_cell_angle_alpha 90.00
_cell_angle_beta 90.00
_cell_angle_gamma 120.00
loop_
_atom_site_label
_atom_site_fract_x
_atom_site_fract_y
_atom_site_fract_z
_atom_site_occupancy
Er1 0.0000 0.0000 0.0000 1
Th1 0.3333 0.6667 0.5000 1
Sc1 0.3404 0.1702 0.5000 1
Sc2 0.5015 0.0030 0.0000 1
```

=====

Diffraction record for ErTm2ThSc4. The X-ray diffraction stick pattern is calculated, not measured: it uses the GGA-PBE geometry in Alexandria and CuKα.

Largest 8 diffraction maxima, most intense first, 10 to 90 degrees two-theta:
2θ 32.39, d 2.764, I = 100.0
2θ 36.68, d 2.450, I = 35.7
2θ 25.71, d 3.465, I = 31.9
2θ 19.36, d 4.584, I = 30.9
2θ 63.35, d 1.468, I = 28.6
2θ 54.85, d 1.674, I = 22.2
2θ 41.80, d 2.161, I = 18.5
2θ 39.31, d 2.292, I = 15.0

Atomic structure:
```
data_ErTm2ThSc4
_chemical_formula_sum 'Er1 Tm2 Th1 Sc4'
_space_group_name_H-M_alt 'P 4/m m m'
_space_group_IT_number 123
_space_group_name_Hall '-P 4 2'
_cell_length_a 4.900
_cell_length_b 4.900
_cell_length_c 9.169
_cell_angle_alpha 90.00
_cell_angle_beta 90.00
_cell_angle_gamma 90.00
loop_
_atom_site_label
_atom_site_fract_x
_atom_site_fract_y
_atom_site_fract_z
_atom_site_occupancy
Er1 0.000 0.000 0.000 1
Tm1 0.000 0.000 0.500 1
Tm2 0.500 0.500 0.000 1
Th1 0.500 0.500 0.500 1
Sc1 0.000 0.500 0.252 1
```

=====

Diffraction record for Y2Er5ThSc. The X-ray diffraction stick pattern is calculated, not measured: it uses the GGA-PBE geometry in Alexandria and CuKα.

Largest 8 diffraction maxima, most intense first, 10 to 90 degrees two-theta:
2θ 32.35, d 2.768, I = 100.0
2θ 31.89, d 2.806, I = 55.5
2θ 33.04, d 2.711, I = 44.1
2θ 34.48, d 2.601, I = 41.7
2θ 33.09, d 2.707, I = 24.1
2θ 57.13, d 1.612, I = 23.1
2θ 16.32, d 5.432, I = 18.7
2θ 27.70, d 3.221, I = 17.4

Atomic structure:
```
data_Y2Er5ThSc
_chemical_formula_sum 'Y8 Er20 Th4 Sc4'
_space_group_name_H-M_alt 'C m c 21'
_space_group_IT_number 36
_cell_length_a 5.612
_cell_length_b 21.641
_cell_length_c 9.384
_cell_angle_alpha 90.00
_cell_angle_beta 90.00
_cell_angle_gamma 90.00
loop_
_space_group_symop_operation_xyz
'x,y,z'
'-x,-y,z+1/2'
'-x,y,z'
'x,-y,z+1/2'
'x+1/2,y+1/2,z'
'-x+1/2,-y+1/2,z+1/2'
'-x+1/2,y+1/2,z'
'x+1/2,-y+1/2,z+1/2'
loop_
_atom_site_label
_atom_site_fract_x
_atom_site_fract_y
_atom_site_fract_z
_atom_site_occupancy
Y1 0.000 0.115 0.000 1
Y2 0.000 0.134 0.391 1
Er1 0.000 0.013 0.695 1
Er2 0.000 0.269 0.009 1
Er3 0.000 0.303 0.401 1
Er4 0.000 0.395 0.726 1
Er5 0.000 0.472 0.430 1
Th1 0.000 0.401 0.111 1
Sc1 0.000 0.193 0.696 1
```

=====

Diffraction record for ErScTi. The X-ray diffraction stick pattern is calculated, not measured: it uses the GGA-PBE geometry in Alexandria and CuKα.

Largest 8 diffraction maxima, most intense first, 10 to 90 degrees two-theta:
2θ 34.76, d 2.581, I = 100.0
2θ 35.37, d 2.537, I = 70.7
2θ 20.20, d 4.395, I = 59.5
2θ 63.11, d 1.473, I = 34.5
2θ 50.44, d 1.809, I = 34.3
2θ 69.65, d 1.350, I = 18.4
2θ 85.23, d 1.139, I = 15.0
2θ 63.50, d 1.465, I = 12.2

Atomic structure:
```
data_ErScTi
_chemical_formula_sum 'Er1 Sc1 Ti1'
_space_group_name_H-M_alt 'P -6 m 2'
_space_group_IT_number 187
_space_group_name_Hall 'P -6 2'
_cell_length_a 5.0749
_cell_length_b 5.0749
_cell_length_c 3.1887
_cell_angle_alpha 90.00
_cell_angle_beta 90.00
_cell_angle_gamma 120.00
loop_
_atom_site_label
_atom_site_fract_x
_atom_site_fract_y
_atom_site_fract_z
_atom_site_occupancy
Er1 0.0000 0.0000 0.0000 1
Sc1 0.3333 0.6667 0.5000 1
Ti1 0.6667 0.3333 0.5000 1
```

=====

Diffraction record for Er8Sc2Tl. The X-ray diffraction stick pattern is calculated, not measured: it uses the GGA-PBE geometry in Alexandria and CuKα.

Largest 8 diffraction maxima, most intense first, 10 to 90 degrees two-theta:
2θ 31.95, d 2.801, I = 100.0
2θ 36.74, d 2.446, I = 17.0
2θ 37.40, d 2.404, I = 17.0
2θ 37.04, d 2.427, I = 16.8
2θ 63.57, d 1.464, I = 13.9
2θ 63.17, d 1.472, I = 13.8
2θ 64.06, d 1.454, I = 13.5
2θ 53.15, d 1.723, I = 11.8

Atomic structure:
```
data_Er8Sc2Tl
_chemical_formula_sum 'Er16 Sc4 Tl2'
_space_group_name_H-M_alt 'C 1 2/m 1'
_space_group_IT_number 12
_cell_length_a 17.441
_cell_length_b 4.855
_cell_length_c 7.721
_cell_angle_alpha 90.00
_cell_angle_beta 106.04
_cell_angle_gamma 90.00
loop_
_space_group_symop_operation_xyz
'x,y,z'
'-x,-y,-z'
'-x,y,-z'
'x,-y,z'
'x+1/2,y+1/2,z'
'-x+1/2,-y+1/2,-z'
'-x+1/2,y+1/2,-z'
'x+1/2,-y+1/2,z'
loop_
_atom_site_label
_atom_site_fract_x
_atom_site_fract_y
_atom_site_fract_z
_atom_site_occupancy
Er1 0.046 0.000 0.223 1
Er2 0.094 0.500 0.949 1
Er3 0.138 0.000 0.686 1
Er4 0.182 0.500 0.413 1
Sc1 0.224 0.000 0.134 1
Tl1 0.000 0.500 0.500 1
```